# 1
For Cu3AsSe4, the PBE geometry in the Materials Project gives the computed powder diffraction line list in this record (Cu Kα (λ = 1.5418 Å)).
No peak broadening, texture or thermal motion is included.

The 9 most intense peaks (2θ = 10–80°), in order of rising 2θ:
| Position (°2θ) | d/Å | intensity |
| --- | --- | --- |
| 27.57 | 3.235 | 100 |
| 45.65 | 1.987 | 24 |
| 45.87 | 1.978 | 48 |
| 54.16 | 1.693 | 29 |
| 54.55 | 1.682 | 14 |
| 66.54 | 1.405 | 8 |
| 67.23 | 1.393 | 4 |
| 73.47 | 1.289 | 6 |
| 73.80 | 1.284 | 11 |

Crystal structure
Cell lengths 6.8428, 6.8428, 6.8428 Å; angles 131.50, 131.50, 71.02 degrees
Positions (direct):
Cu  0.0000  0.0000  0.0000
Cu  0.2500  0.7500  0.5000
Cu  0.7500  0.2500  0.5000
As  0.5000  0.5000  0.0000
Se  0.1145  0.6235  0.0000
Se  0.3765  0.3765  0.4910
Se  0.6235  0.1145  0.0000
Se  0.8855  0.8855  0.5090



# 2
For BaSr2UO6, the PBE geometry in the Materials Project gives the computed powder diffraction line list in this record (Cu Kα (λ = 1.5418 Å)).
No peak broadening, texture or thermal motion is included.

The 10 most intense peaks (2θ = 10–80°), in order of rising 2θ:
| Position (°2θ) | d/Å | intensity |
| --- | --- | --- |
| 17.24 | 5.142 | 16 |
| 17.48 | 5.073 | 16 |
| 28.25 | 3.159 | 24 |
| 28.54 | 3.127 | 100 |
| 28.85 | 3.095 | 25 |
| 40.81 | 2.211 | 37 |
| 50.19 | 1.818 | 18 |
| 50.36 | 1.812 | 11 |
| 50.85 | 1.796 | 17 |
| 51.00 | 1.791 | 13 |

Crystal structure
Cell lengths 6.1898, 6.3187, 10.7787 Å; angles 90.00, 124.83, 90.00 degrees
Positions (direct):
Ba  0.0000  0.2115  0.0000
Ba  0.0000  0.7885  0.5000
Sr  0.2554  0.2420  0.7493
Sr  0.2554  0.7580  0.2493
Sr  0.5121  0.2991  0.5015
Sr  0.5121  0.7009  0.0015
U  0.7573  0.2550  0.2501
U  0.7573  0.7450  0.7501
O  0.0894  0.2210  0.4766
O  0.0894  0.7790  0.9766
O  0.4444  0.2981  0.0216
O  0.4444  0.7019  0.5216
O  0.5227  0.0880  0.3009
O  0.5227  0.9120  0.8009
O  0.6279  0.4658  0.7949
O  0.6279  0.5342  0.2949
O  0.8620  0.0278  0.6910
O  0.8620  0.9722  0.1910
O  0.9894  0.4368  0.2068
O  0.9894  0.5632  0.7068



# 3
For CoPW, the PBE geometry in the Materials Project gives the computed powder diffraction line list in this record (Cu Kα (λ = 1.5418 Å)).
No peak broadening, texture or thermal motion is included.

The 10 most intense peaks (2θ = 10–80°), in order of rising 2θ:
| Position (°2θ) | d/Å | intensity |
| --- | --- | --- |
| 20.24 | 4.388 | 17 |
| 27.21 | 3.277 | 45 |
| 30.90 | 2.894 | 21 |
| 39.19 | 2.299 | 100 |
| 39.32 | 2.292 | 23 |
| 41.63 | 2.169 | 71 |
| 43.26 | 2.092 | 38 |
| 48.52 | 1.876 | 29 |
| 49.12 | 1.855 | 13 |
| 67.01 | 1.397 | 21 |

Crystal structure
Cell lengths 5.7880, 3.7523, 6.7294 Å; angles 90.00, 90.00, 90.00 degrees
Positions (direct):
Co  0.1402  0.2500  0.0692
Co  0.3598  0.7500  0.5692
Co  0.6402  0.2500  0.4308
Co  0.8598  0.7500  0.9308
P  0.2327  0.7500  0.8788
P  0.2673  0.2500  0.3788
P  0.7327  0.7500  0.6212
P  0.7673  0.2500  0.1212
W  0.0326  0.2500  0.6685
W  0.4674  0.7500  0.1685
W  0.5326  0.2500  0.8315
W  0.9674  0.7500  0.3315



# 4
For HoNiAs, the PBE geometry in the Materials Project gives the computed powder diffraction line list in this record (Cu Kα (λ = 1.5418 Å)).
No peak broadening, texture or thermal motion is included.

The 10 most intense peaks (2θ = 10–80°), in order of rising 2θ:
| Position (°2θ) | d/Å | intensity |
| --- | --- | --- |
| 25.42 | 3.504 | 17 |
| 34.69 | 2.586 | 100 |
| 44.80 | 2.023 | 41 |
| 47.44 | 1.916 | 12 |
| 52.21 | 1.752 | 3 |
| 54.58 | 1.681 | 4 |
| 57.87 | 1.593 | 23 |
| 67.30 | 1.391 | 24 |
| 76.03 | 1.252 | 20 |
| 79.93 | 1.200 | 9 |

Crystal structure
Cell lengths 4.0462, 4.0462, 3.8327 Å; angles 90.00, 90.00, 120.00 degrees
Positions (direct):
Ho  0.0000  0.0000  0.0000
Ni  0.6667  0.3333  0.5000
As  0.3333  0.6667  0.5000



# 5
For Ca2SnS4, the PBE geometry in the Materials Project gives the computed powder diffraction line list in this record (Cu Kα (λ = 1.5418 Å)).
No peak broadening, texture or thermal motion is included.

The 10 most intense peaks (2θ = 10–80°), in order of rising 2θ:
| Position (°2θ) | d/Å | intensity |
| --- | --- | --- |
| 14.29 | 6.198 | 79 |
| 17.73 | 5.003 | 100 |
| 17.87 | 4.964 | 60 |
| 24.47 | 3.637 | 74 |
| 24.78 | 3.593 | 81 |
| 28.45 | 3.137 | 41 |
| 33.56 | 2.670 | 33 |
| 35.49 | 2.529 | 87 |
| 38.35 | 2.347 | 65 |
| 50.62 | 1.803 | 33 |

Crystal structure
Cell lengths 8.2914, 7.2749, 12.3961 Å; angles 90.00, 90.00, 90.00 degrees
Positions (direct):
Ca  0.0610  0.2500  0.1721
Ca  0.0963  0.7500  0.4613
Ca  0.4037  0.2500  0.9613
Ca  0.4390  0.7500  0.6721
Ca  0.5610  0.2500  0.3279
Ca  0.5963  0.7500  0.0387
Ca  0.9037  0.2500  0.5387
Ca  0.9390  0.7500  0.8279
Sn  0.2045  0.7500  0.0614
Sn  0.2955  0.2500  0.5614
Sn  0.7045  0.7500  0.4386
Sn  0.7955  0.2500  0.9386
S  0.0777  0.2500  0.9341
S  0.1468  0.5057  0.6361
S  0.1468  0.9943  0.6361
S  0.2261  0.2500  0.3737
S  0.2739  0.7500  0.8737
S  0.3532  0.0057  0.1361
S  0.3532  0.4943  0.1361
S  0.4223  0.7500  0.4341
S  0.5777  0.2500  0.5659
S  0.6468  0.5057  0.8639
S  0.6468  0.9943  0.8639
S  0.7261  0.2500  0.1263
S  0.7739  0.7500  0.6263
S  0.8532  0.0057  0.3639
S  0.8532  0.4943  0.3639
S  0.9223  0.7500  0.0659



# 6
For MgTi2Zn2O6, the PBE geometry in the Materials Project gives the computed powder diffraction line list in this record (Cu Kα (λ = 1.5418 Å)).
No peak broadening, texture or thermal motion is included.

The 10 most intense peaks (2θ = 10–80°), in order of rising 2θ:
| Position (°2θ) | d/Å | intensity |
| --- | --- | --- |
| 34.40 | 2.607 | 100 |
| 34.62 | 2.591 | 52 |
| 34.79 | 2.579 | 50 |
| 35.35 | 2.539 | 47 |
| 35.80 | 2.508 | 44 |
| 49.63 | 1.837 | 31 |
| 50.17 | 1.818 | 22 |
| 50.75 | 1.799 | 26 |
| 61.46 | 1.509 | 32 |
| 61.80 | 1.501 | 21 |

Crystal structure
Cell lengths 5.1831, 5.2105, 5.8794 Å; angles 114.70, 90.79, 119.68 degrees
Positions (direct):
Mg  0.0000  0.0000  0.0000
Ti  0.4397  0.9009  0.3802
Ti  0.8093  0.6355  0.4299
Zn  0.2318  0.4747  0.7135
Zn  0.6373  0.2813  0.9215
O  0.0512  0.4612  0.1831
O  0.2105  0.0788  0.6817
O  0.4161  0.1459  0.2044
O  0.5876  0.8216  0.6769
O  0.7129  0.7682  0.1793
O  0.8503  0.4542  0.6720



# 7
For HfCuP, the PBE geometry in the Materials Project gives the computed powder diffraction line list in this record (Cu Kα (λ = 1.5418 Å)).
No peak broadening, texture or thermal motion is included.

The 10 most intense peaks (2θ = 10–80°), in order of rising 2θ:
| Position (°2θ) | d/Å | intensity |
| --- | --- | --- |
| 15.88 | 5.580 | 46 |
| 28.74 | 3.107 | 42 |
| 33.00 | 2.714 | 100 |
| 43.60 | 2.076 | 55 |
| 50.91 | 1.794 | 28 |
| 53.68 | 1.708 | 13 |
| 57.77 | 1.596 | 13 |
| 62.02 | 1.496 | 16 |
| 69.23 | 1.357 | 14 |
| 73.32 | 1.291 | 15 |

Crystal structure
Cell lengths 3.5872, 3.5872, 5.5801 Å; angles 90.00, 90.00, 120.00 degrees
Positions (direct):
Hf  0.0000  0.0000  0.0000
Cu  0.3333  0.6667  0.6537
P  0.3333  0.6667  0.2503